For TbTm2Ge4Au4, a cell relaxed with GGA-PBE gives the theoretical PXRD pattern in this record (Cu Kα).
Lines closer than 0.1° are merged.

Largest 12 diffraction maxima, in order of rising 2θ, 5 to 70 degrees two-theta:
12.15 deg, rel. 144
27.64 deg, rel. 197
33.33 deg, rel. 1000
34.63 deg, rel. 603
37.01 deg, rel. 238
37.76 deg, rel. 425
41.85 deg, rel. 379
42.66 deg, rel. 327
55.48 deg, rel. 124
57.09 deg, rel. 137
61.13 deg, rel. 137
61.30 deg, rel. 225

Crystal structure
Lattice parameters (Å, degrees): 4.317 7.066 14.573 90.00 90.00 90.00
Space group Immm (No. 71)
Unique sites:
Tb (0.000, 0.000, 0.000) (multiplicity 2)
Tm (0.000, 0.500, 0.126) (multiplicity 4)
Ge (0.000, 0.000, 0.217) (multiplicity 4)
Ge (0.000, 0.183, 0.500) (multiplicity 4)
Au (0.000, 0.297, 0.333) (multiplicity 8)